Structure and computed powder XRD pattern of Ca4U6O19 (a crystal structure in Alexandria, relaxed with GGA-PBE; Cu Kα, 1.54184 Å).

Main lines, low angle first (10 to 80 degrees two-theta):
d (Å)  2θ/deg  Rel. int.
6.954  12.73  82
4.917  18.04  47
4.015  22.14  24
3.110  28.71  100
2.628  34.11  92
2.007  45.17  22
1.929  47.12  50
1.639  56.11  23
1.595  57.79  35
1.391  67.33  22

Structural model:
a = 9.8344 Å, b = 9.8344 Å, c = 9.8344 Å
α = 90.00°, β = 90.00°, γ = 90.00°
Space group I23 (No. 197)
Symmetry-distinct sites (fractional):
Ca 0.1380 0.1380 0.1380 (multiplicity 8)
U 0.0000 0.1765 0.5000 (multiplicity 12)
O 0.0000 0.0000 0.0000 (multiplicity 2)
O 0.0000 0.0000 0.3664 (multiplicity 12)
O 0.0364 0.2873 0.3115 (multiplicity 24)

---

Structure and computed powder XRD pattern of CaUO3 (a crystal structure in Alexandria, relaxed with GGA-PBE; Cu Kα, 1.54184 Å).

Main lines, low angle first (10 to 80 degrees two-theta):
d (Å)  2θ/deg  Rel. int.
5.557  15.95  87
3.806  23.37  46
3.701  24.04  30
3.140  28.42  100
3.081  28.99  92
2.653  33.78  45
2.395  37.56  42
1.919  47.37  57
1.619  56.87  28
1.594  57.83  27

Structural model:
a = 7.4022 Å, b = 3.8062 Å, c = 5.5575 Å
α = 90.00°, β = 90.00°, γ = 90.00°
Space group Pmma (No. 51)
Symmetry-distinct sites (fractional):
Ca 0.0000 0.0000 0.0000 (multiplicity 2)
U 0.2500 0.5000 0.4622 (multiplicity 2)
O 0.0446 0.5000 0.7353 (multiplicity 4)
O 0.2500 0.0000 0.2553 (multiplicity 2)